For Na3PuBi2Se6, a crystal structure in Alexandria, relaxed with GGA-PBE gives the simulated powder XRD pattern in this record (λ = 1.5418 Å (Cu Kα)).
Intensities are scaled so that the largest is 100.

Atomic structure:
```
data_Na3PuBi2Se6
_chemical_formula_sum 'Na6 Pu2 Bi4 Se12'
_cell_length_a 7.335
_cell_length_b 12.708
_cell_length_c 7.484
_cell_angle_alpha 90.00
_cell_angle_beta 109.05
_cell_angle_gamma 90.00
_space_group_name_H-M_alt 'C 1 2/m 1'
_space_group_IT_number 12
_space_group_name_Hall '-C 2y'
loop_
_atom_site_label
_atom_site_fract_x
_atom_site_fract_y
_atom_site_fract_z
Na1 0.000 0.000 0.000
Na2 0.000 0.328 0.000
Pu1 0.000 0.500 0.500
Bi1 0.000 0.166 0.500
Se1 0.243 0.335 0.736
Se2 0.249 0.000 0.738
```

Peak list (10 most intense, 10° ≤ 2θ ≤ 90°, most intense first)
2θ (°)	Rel. int.
29.61	100.0
12.51	62.4
42.03	38.2
42.70	37.2
24.63	33.9
52.82	19.9
44.67	17.6
69.21	17.0
70.16	17.0
38.52	15.6